# AcMnH2F8
Simulated powder X-ray diffraction pattern, a wavelength of 1.5418 Å. Input: a crystal structure in Alexandria, relaxed with GGA+U.
Kinematic intensities with the Lorentz-polarization factor, no thermal factor.

Top 8 peaks for 10° ≤ 2θ ≤ 90°, most intense first:
| (hkl) | d (Å) | intensity |
| --- | --- | --- |
| 1 0 0 | 4.084 | 100 |
| 0 0 1 | 8.133 | 69 |
| 0 0 2 | 4.067 | 63 |
| 1 1 0 | 3.745 | 58 |
| 1 0 -2 | 2.895 | 25 |
| 0 1 2 | 2.933 | 25 |
| -1 1 2 | 2.114 | 25 |
| 2 1 0 | 2.218 | 24 |

```
12
Lattice="4.460 0.000 0.000 1.815 4.093 0.000 0.024 0.268 8.133" Properties=species:S:1:pos:R:3 pbc="T T T"
Ac 0.000 0.000 0.000
Mn 0.012 0.134 4.067
H 3.126 2.224 5.746
H 3.174 2.137 2.387
F 2.438 3.279 5.761
F 1.516 1.116 4.085
F 2.594 3.034 2.324
F 2.049 1.332 0.048
F 4.250 3.028 8.085
F 3.706 1.326 5.809
F 4.783 3.245 4.048
F 3.861 1.081 2.372
```